(1)
Structure and simulated powder X-ray diffraction pattern of Sr3Ca7Ga4 (a structure optimized by DFT (PBE); Cu Ka).

```
Sr3Ca7Ga4
1.0
9.413 -2.574 0.000
9.413 2.574 0.000
-7.000 0.000 9.863
Sr Ca Ga
3 7 4
Direct
0.000 0.000 0.000
0.308 0.308 0.293
0.692 0.692 0.707
0.000 0.000 0.500
0.170 0.170 0.417
0.309 0.309 0.968
0.492 0.492 0.726
0.508 0.508 0.274
0.691 0.691 0.032
0.830 0.830 0.583
0.106 0.106 0.826
0.326 0.326 0.728
0.674 0.674 0.272
0.894 0.894 0.174
```

Top 12 peaks for 15° ≤ 2θ ≤ 90°, low angle first:
2θ (°), I_rel
18.0, 16
24.5, 29
28.0, 61
28.2, 40
29.3, 21
29.4, 100
29.6, 18
34.0, 25
34.6, 32
34.9, 54
35.1, 18
46.4, 25



(2)
Structure and simulated powder X-ray diffraction pattern of SrCa2Ga4 (a structure optimized by DFT (PBE); Cu Ka).

```
SrCa2Ga4
1.0
-2.135 2.320 9.403
2.135 -2.320 9.403
2.135 2.320 -9.403
Sr Ca Ga
1 2 4
Direct
0.000 0.000 0.000
0.186 0.686 0.500
0.814 0.314 0.500
0.358 0.858 0.500
0.433 0.433 0.000
0.567 0.567 0.000
0.642 0.142 0.500
```

Top 12 peaks for 15° ≤ 2θ ≤ 90°, low angle first:
2θ (°), I_rel
19.7, 20
23.9, 10
30.0, 100
30.6, 47
34.3, 40
38.8, 36
39.6, 50
40.7, 19
42.3, 27
53.1, 19
56.7, 34
58.8, 21



(3)
Structure and simulated powder X-ray diffraction pattern of SrCa2Ga3 (a structure optimized by DFT (PBE); Cu Ka).

```
SrCa2Ga3
1.0
2.646 -7.978 0.000
2.646 7.978 0.000
0.000 0.000 3.747
Sr Ca Ga
1 2 3
Direct
0.000 0.000 0.000
0.334 0.666 0.000
0.666 0.334 0.000
0.174 0.826 0.500
0.500 0.500 0.500
0.826 0.174 0.500
```

Top 12 peaks for 15° ≤ 2θ ≤ 90°, low angle first:
2θ (°), I_rel
29.7, 2
33.7, 20
33.8, 100
48.6, 21
60.4, 20
60.6, 21
70.9, 2
71.1, 8
71.3, 2
80.9, 3
81.1, 11
81.2, 3



(4)
Structure and simulated powder X-ray diffraction pattern of Ca2TbGa4 (a structure optimized by DFT (PBE); Cu Ka).

```
Ca2TbGa4
1.0
-2.015 2.158 9.554
2.015 -2.158 9.554
2.015 2.158 -9.554
Ca Tb Ga
2 1 4
Direct
0.188 0.188 0.000
0.812 0.812 0.000
0.500 0.000 0.500
0.065 0.565 0.500
0.362 0.362 0.000
0.638 0.638 0.000
0.935 0.435 0.500
```

Top 12 peaks for 15° ≤ 2θ ≤ 90°, low angle first:
2θ (°), I_rel
26.2, 16
31.8, 100
32.3, 51
35.8, 51
39.0, 55
41.8, 31
45.0, 23
47.7, 14
53.8, 26
57.8, 13
61.1, 29
63.1, 16



(5)
Structure and simulated powder X-ray diffraction pattern of CaGaTc (a structure optimized by DFT (PBE); Cu Ka).

```
CaGaTc
1.0
2.927 -6.584 0.000
2.927 6.584 0.000
0.000 0.000 7.056
Ca Ga Tc
4 4 4
Direct
0.186 0.814 0.928
0.314 0.686 0.428
0.686 0.314 0.572
0.814 0.186 0.072
0.192 0.308 0.750
0.308 0.192 0.250
0.692 0.808 0.750
0.808 0.692 0.250
0.081 0.919 0.555
0.419 0.581 0.055
0.581 0.419 0.945
0.919 0.081 0.445
```

Top 12 peaks for 15° ≤ 2θ ≤ 90°, low angle first:
2θ (°), I_rel
20.8, 100
28.4, 16
30.0, 16
35.9, 45
36.1, 30
39.6, 51
40.0, 62
40.7, 43
42.4, 20
43.3, 23
58.6, 16
70.9, 18



(6)
Structure and simulated powder X-ray diffraction pattern of CaThZn2Ga2 (a structure optimized by DFT (PBE); Cu Ka).

```
CaThZn2Ga2
1.0
4.446 0.000 0.000
-2.223 3.851 0.000
0.000 0.000 7.747
Ca Th Zn Ga
1 1 2 2
Direct
0.000 0.000 0.000
0.000 0.000 0.500
0.333 0.667 0.253
0.667 0.333 0.747
0.333 0.667 0.739
0.667 0.333 0.261
```

Top 12 peaks for 15° ≤ 2θ ≤ 90°, low angle first:
2θ (°), I_rel
23.1, 10
25.8, 32
32.8, 100
40.6, 51
42.1, 12
42.3, 11
46.9, 11
53.1, 25
63.7, 26
68.9, 23
73.8, 8
78.1, 8



(7)
Structure and simulated powder X-ray diffraction pattern of CaTi2Ga2 (a structure optimized by DFT (PBE); Cu Ka).

```
CaTi2Ga2
1.0
8.060 0.000 0.000
0.000 8.060 0.000
0.000 0.000 2.961
Ca Ti Ga
2 4 4
Direct
0.000 0.000 0.000
0.500 0.500 0.000
0.126 0.374 0.500
0.374 0.874 0.500
0.626 0.126 0.500
0.874 0.626 0.500
0.169 0.669 0.000
0.331 0.169 0.000
0.669 0.831 0.000
0.831 0.331 0.000
```

Top 12 peaks for 15° ≤ 2θ ≤ 90°, low angle first:
2θ (°), I_rel
15.5, 13
24.7, 9
31.4, 10
35.2, 58
39.4, 100
46.5, 13
47.0, 8
47.9, 11
56.4, 15
70.5, 15
74.1, 11
76.0, 12



(8)
Structure and simulated powder X-ray diffraction pattern of Ca5TlGa2 (a structure optimized by DFT (PBE); Cu Ka).

```
Ca5TlGa2
1.0
-4.036 4.036 7.502
4.036 -4.036 7.502
4.036 4.036 -7.502
Ca Tl Ga
10 2 4
Direct
0.000 0.000 0.000
0.035 0.535 0.852
0.183 0.035 0.500
0.317 0.817 0.852
0.465 0.317 0.500
0.500 0.500 0.000
0.535 0.683 0.500
0.683 0.183 0.148
0.817 0.965 0.500
0.965 0.465 0.148
0.250 0.250 0.000
0.750 0.750 0.000
0.111 0.389 0.500
0.389 0.889 0.277
0.611 0.111 0.723
0.889 0.611 0.500
```

Top 12 peaks for 15° ≤ 2θ ≤ 90°, low angle first:
2θ (°), I_rel
15.5, 22
19.5, 100
22.0, 18
28.5, 26
30.5, 50
31.3, 27
32.6, 68
35.2, 59
39.3, 22
42.9, 26
61.3, 20
63.8, 23



(9)
Structure and simulated powder X-ray diffraction pattern of Ca7TlGa2 (a structure optimized by DFT (PBE); Cu Ka).

```
Ca7TlGa2
1.0
-2.591 2.591 12.185
2.591 -2.591 12.185
2.591 2.591 -12.185
Ca Tl Ga
7 1 2
Direct
0.000 0.000 0.000
0.103 0.603 0.500
0.250 0.750 0.500
0.397 0.897 0.500
0.603 0.103 0.500
0.750 0.250 0.500
0.897 0.397 0.500
0.500 0.500 0.000
0.171 0.171 0.000
0.829 0.829 0.000
```

Top 12 peaks for 15° ≤ 2θ ≤ 90°, low angle first:
2θ (°), I_rel
20.3, 85
25.4, 22
28.4, 24
32.9, 100
34.6, 51
37.5, 18
40.5, 30
49.8, 17
51.5, 13
51.9, 16
57.7, 12
61.0, 32



(10)
Structure and simulated powder X-ray diffraction pattern of Ca2TlGa2 (a structure optimized by DFT (PBE); Cu Ka).

```
Ca2TlGa2
1.0
8.047 0.000 0.000
0.000 8.047 0.000
0.000 0.000 4.009
Ca Tl Ga
4 2 4
Direct
0.181 0.319 0.000
0.319 0.819 0.000
0.681 0.181 0.000
0.819 0.681 0.000
0.000 0.000 0.500
0.500 0.500 0.500
0.114 0.614 0.500
0.386 0.114 0.500
0.614 0.886 0.500
0.886 0.386 0.500
```

Top 12 peaks for 15° ≤ 2θ ≤ 90°, low angle first:
2θ (°), I_rel
15.6, 25
22.1, 69
27.2, 24
31.5, 100
33.5, 40
35.3, 62
38.8, 16
42.1, 45
45.2, 16
58.6, 28
63.3, 28
70.2, 13



(11)
Structure and simulated powder X-ray diffraction pattern of Ca7Tl2Ga2 (a structure optimized by DFT (PBE); Cu Ka).

```
Ca7Tl2Ga2
1.0
3.820 -5.805 0.000
3.820 5.805 0.000
0.000 0.000 8.299
Ca Tl Ga
7 2 2
Direct
0.000 0.000 0.000
0.000 0.500 0.296
0.000 0.500 0.704
0.500 0.000 0.296
0.500 0.000 0.704
0.500 0.500 0.281
0.500 0.500 0.719
0.304 0.696 0.000
0.696 0.304 0.000
0.164 0.164 0.500
0.836 0.836 0.500
```

Top 12 peaks for 15° ≤ 2θ ≤ 90°, low angle first:
2θ (°), I_rel
17.5, 34
18.7, 100
21.4, 32
25.7, 99
25.8, 43
28.0, 55
30.0, 30
31.8, 35
33.8, 91
35.5, 87
36.0, 34
43.9, 46



(12)
Structure and simulated powder X-ray diffraction pattern of Ca6TlGa5 (a structure optimized by DFT (PBE); Cu Ka).

```
Ca6TlGa5
1.0
5.237 0.000 0.000
0.000 7.435 0.000
-2.549 0.000 7.877
Ca Tl Ga
6 1 5
Direct
0.000 0.241 0.000
0.000 0.759 0.000
0.331 0.246 0.660
0.331 0.754 0.660
0.669 0.246 0.340
0.669 0.754 0.340
0.500 0.500 0.000
0.164 0.000 0.331
0.164 0.500 0.331
0.500 0.000 0.000
0.836 0.000 0.669
0.836 0.500 0.669
```

Top 12 peaks for 15° ≤ 2θ ≤ 90°, low angle first:
2θ (°), I_rel
23.9, 23
24.1, 11
34.1, 100
34.2, 99
42.2, 11
49.0, 23
49.4, 11
61.0, 12
61.1, 35
61.3, 11
61.4, 11
82.0, 12



(13)
Structure and simulated powder X-ray diffraction pattern of Ca2ZnGa2 (a structure optimized by DFT (PBE); Cu Ka).

```
Ca2ZnGa2
1.0
5.470 -2.232 0.000
5.470 2.232 0.000
-5.128 0.000 9.592
Ca Zn Ga
4 2 4
Direct
0.012 0.012 0.332
0.191 0.191 0.107
0.809 0.809 0.893
0.988 0.988 0.668
0.276 0.276 0.650
0.724 0.724 0.350
0.360 0.360 0.439
0.485 0.485 0.115
0.515 0.515 0.885
0.640 0.640 0.561
```

Top 12 peaks for 15° ≤ 2θ ≤ 90°, low angle first:
2θ (°), I_rel
16.2, 31
21.9, 35
31.6, 44
31.9, 34
32.0, 64
32.2, 23
35.1, 49
37.5, 29
38.5, 33
39.1, 100
40.4, 63
57.0, 24



(14)
Structure and simulated powder X-ray diffraction pattern of CaZn12Ga6 (a structure optimized by DFT (PBE); Cu Ka).

```
CaZn12Ga6
1.0
5.796 3.346 2.979
-5.796 3.346 2.979
0.000 -6.692 2.979
Ca Zn Ga
1 12 6
Direct
0.000 0.000 0.000
0.108 0.500 0.892
0.108 0.892 0.500
0.141 0.379 0.379
0.379 0.141 0.379
0.379 0.379 0.141
0.500 0.108 0.892
0.500 0.892 0.108
0.621 0.621 0.859
0.621 0.859 0.621
0.859 0.621 0.621
0.892 0.108 0.500
0.892 0.500 0.108
0.280 0.712 0.712
0.288 0.288 0.720
0.288 0.720 0.288
0.712 0.280 0.712
0.712 0.712 0.280
0.720 0.288 0.288
```

Top 12 peaks for 15° ≤ 2θ ≤ 90°, low angle first:
2θ (°), I_rel
15.3, 18
33.7, 98
33.8, 81
40.4, 100
40.5, 66
41.2, 52
44.2, 58
44.4, 66
49.1, 21
49.8, 70
66.0, 30
82.9, 28